# 1
AcSm2Se4: theoretical XRD peak list (Cu Kα, 1.54184 Å), based on the GGA-PBE geometry in Alexandria.

Structure:
abc: 7.2128 7.2128 14.2080
angles: 90.00 90.00 146.07
Atoms (fractional coordinates):
Ac1 0.1207 0.8793 0.7500
Ac2 0.8793 0.1207 0.2500
Sm1 0.3708 0.6292 0.5643
Sm2 0.3708 0.6292 0.9357
Sm3 0.6292 0.3708 0.0643
Sm4 0.6292 0.3708 0.4357
Se1 0.0000 0.0000 0.0000
Se2 0.0000 0.0000 0.5000
Se3 0.2719 0.7281 0.1199
Se4 0.2719 0.7281 0.3801
Se5 0.4558 0.5442 0.7500
Se6 0.5442 0.4558 0.2500
Se7 0.7281 0.2719 0.6199
Se8 0.7281 0.2719 0.8801

Largest 12 diffraction maxima, sorted by position, 2θ = 15–90°:
2θ/deg	I/Imax
22.8	100.0
23.0	24.2
28.3	32.5
29.4	96.5
31.4	95.9
38.8	60.5
41.1	36.6
43.0	37.3
43.2	21.2
43.8	44.6
49.2	26.3
63.0	30.6

=====

# 2
Ni5SbPt6: theoretical XRD peak list (Cu Kα, 1.54184 Å), based on the GGA-PBE geometry in Alexandria.

Structure:
abc: 7.2015 7.2015 7.2015
angles: 148.22 118.47 70.93
Atoms (fractional coordinates):
Ni1 0.0000 0.0000 0.0000
Ni2 0.1695 0.6695 0.5000
Ni3 0.3304 0.3304 0.0000
Ni4 0.6696 0.6696 0.0000
Ni5 0.8305 0.3305 0.5000
Sb1 0.5000 0.0000 0.5000
Pt1 0.0747 0.8305 0.2442
Pt2 0.2341 0.5000 0.7341
Pt3 0.4137 0.1695 0.2442
Pt4 0.5863 0.8305 0.7558
Pt5 0.7659 0.5000 0.2659
Pt6 0.9253 0.1695 0.7558

Largest 12 diffraction maxima, sorted by position, 2θ = 15–90°:
2θ/deg	I/Imax
24.2	18.0
32.2	18.2
40.7	100.0
46.0	17.8
46.4	17.2
49.5	13.7
67.5	11.2
69.9	9.7
81.6	13.2
82.2	12.8
86.7	10.4
88.1	10.7

=====

# 3
NaHg2SbPb2: theoretical XRD peak list (Cu Kα, 1.54184 Å), based on the GGA-PBE geometry in Alexandria.

Structure:
abc: 4.4847 10.5482 7.2394
angles: 90.00 90.00 90.00
Atoms (fractional coordinates):
Na1 0.0000 0.0103 0.0000
Na2 0.0000 0.9897 0.5000
Hg1 0.0000 0.3223 0.0308
Hg2 0.0000 0.6777 0.5308
Hg3 0.5000 0.1372 0.2511
Hg4 0.5000 0.8628 0.7511
Sb1 0.5000 0.1897 0.7648
Sb2 0.5000 0.8103 0.2648
Pb1 0.0000 0.3129 0.5038
Pb2 0.0000 0.6871 0.0038
Pb3 0.5000 0.4950 0.7469
Pb4 0.5000 0.5050 0.2469

Largest 12 diffraction maxima, sorted by position, 2θ = 15–90°:
2θ/deg	I/Imax
26.1	22.2
29.9	13.4
31.8	100.0
32.4	85.5
35.6	64.9
40.2	27.3
50.4	13.0
54.3	11.7
54.8	39.1
61.2	25.4
62.3	17.0
67.8	11.6